This entry pairs a crystal structure of LiLa2Pm with its computed powder X-ray diffraction pattern. Radiation: Cu Kα X-rays. Structure: a GGA-PBE-relaxed structure.
No peak broadening, texture or thermal motion is included.

The 10 most intense peaks (5° ≤ 2θ ≤ 70°), low angle first:
2θ = 7.25°, I = 100, hkl 0 0 1
2θ = 14.53°, I = 15, hkl 0 0 2
2θ = 29.29°, I = 35, hkl 0 0 4
2θ = 29.48°, I = 88, hkl 1 0 1
2θ = 32.16°, I = 72, hkl 1 0 2
2θ = 36.23°, I = 55, hkl 0 1 3
2θ = 47.25°, I = 22, hkl 1 0 5
2θ = 50.53°, I = 23, hkl 1 1 0
2θ = 53.78°, I = 17, hkl 1 0 6
2θ = 59.49°, I = 28, hkl 1 1 4

Atomic structure:
a = 3.612 Å, b = 3.612 Å, c = 12.196 Å
α = 90.00°, β = 90.00°, γ = 120.00°
Element x y z (fractional)
Li 0.000 0.000 0.000
La 0.000 0.000 0.727
La 0.667 0.333 0.237
Pm 0.333 0.667 0.484